Structure and calculated X-ray diffraction stick pattern of HgB6 (DFT lattice parameters and positions (PBE); Cu Kα X-rays).
No peak broadening, texture or thermal motion is included.

Cell and atoms:
abc: 4.193 4.193 4.193
angles: 90.00 90.00 90.00
Space group Pm-3m (No. 221)
Unique sites:
Hg  0.000  0.000  0.000
B  0.200  0.500  0.500

Peak list (10 most intense, 2θ = 15–90°, low angle first)
- 21.2 deg, d 4.193, rel. 75.4, hkl 1 0 0
- 30.1 deg, d 2.965, rel. 100.0, hkl 1 1 0
- 37.1 deg, d 2.421, rel. 41.7, hkl 1 1 1
- 43.2 deg, d 2.096, rel. 21.2, hkl 2 0 0
- 48.6 deg, d 1.875, rel. 52.3, hkl 2 1 0
- 53.5 deg, d 1.712, rel. 31.7, hkl 2 1 1
- 67.0 deg, d 1.398, rel. 28.5, hkl 2 2 1
- 71.1 deg, d 1.326, rel. 20.2, hkl 3 1 0
- 75.2 deg, d 1.264, rel. 14.2, hkl 3 1 1
- 86.9 deg, d 1.121, rel. 20.1, hkl 3 2 1